No. 1
The following is a calculated XRD peak list of NaLaNi2H8. It was derived from a cell relaxed with GGA-PBE, using copper Kα.

Structure:
Cell lengths 6.774, 6.774, 6.774 Å; angles 39.44, 39.44, 39.44 degrees
Positions (direct):
Na  0.000  0.000  0.000
La  0.500  0.500  0.500
Ni  0.334  0.334  0.334
Ni  0.666  0.666  0.666
H  0.052  0.617  0.481
H  0.151  0.151  0.151
H  0.383  0.519  0.948
H  0.481  0.052  0.617
H  0.519  0.948  0.383
H  0.617  0.481  0.052
H  0.849  0.849  0.849
H  0.948  0.383  0.519

Most intense lines, 10° ≤ 2θ ≤ 90°, by intensity:
22.96°, d = 3.873 Å, I = 100; 49.43°, d = 1.844 Å, I = 67; 39.42°, d = 2.286 Å, I = 64; 28.62°, d = 3.119 Å, I = 51; 32.93°, d = 2.720 Å, I = 38; 24.41°, d = 3.646 Å, I = 23; 40.72°, d = 2.216 Å, I = 22; 73.51°, d = 1.288 Å, I = 19; 78.74°, d = 1.215 Å, I = 16; 46.11°, d = 1.969 Å, I = 14; 29.56°, d = 3.022 Å, I = 14; 62.24°, d = 1.492 Å, I = 12

No. 2
The following is a calculated XRD peak list of KAg2BiI6. It was derived from a cell relaxed with GGA-PBE, using copper Kα.

Structure:
Cell lengths 10.598, 10.598, 8.118 Å; angles 96.83, 96.83, 86.97 degrees
Positions (direct):
K  0.083  0.917  0.750
K  0.917  0.083  0.250
Ag  0.320  0.479  0.731
Ag  0.479  0.320  0.231
Ag  0.521  0.680  0.769
Ag  0.680  0.521  0.269
Bi  0.255  0.745  0.250
Bi  0.745  0.255  0.750
I  0.011  0.234  0.650
I  0.137  0.618  0.903
I  0.234  0.011  0.150
I  0.287  0.464  0.381
I  0.382  0.863  0.597
I  0.464  0.287  0.881
I  0.536  0.713  0.119
I  0.618  0.137  0.403
I  0.713  0.536  0.619
I  0.766  0.989  0.850
I  0.863  0.382  0.097
I  0.989  0.766  0.350

Most intense lines, 10° ≤ 2θ ≤ 90°, by intensity:
26.58°, d = 3.354 Å, I = 100; 38.06°, d = 2.364 Å, I = 59; 26.82°, d = 3.324 Å, I = 58; 23.43°, d = 3.796 Å, I = 51; 11.67°, d = 7.585 Å, I = 44; 21.68°, d = 4.098 Å, I = 41; 36.98°, d = 2.431 Å, I = 29; 38.18°, d = 2.357 Å, I = 26; 46.27°, d = 1.962 Å, I = 19; 22.20°, d = 4.004 Å, I = 18; 38.89°, d = 2.316 Å, I = 17; 45.56°, d = 1.991 Å, I = 16

No. 3
The following is a calculated XRD peak list of Tm5TlIn2. It was derived from a cell relaxed with GGA-PBE, using copper Kα.

Structure:
Cell lengths 9.028, 9.028, 9.028 Å; angles 127.82, 127.82, 76.91 degrees
Positions (direct):
Tm  0.000  0.000  0.000
Tm  0.008  0.508  0.821
Tm  0.187  0.008  0.500
Tm  0.313  0.813  0.821
Tm  0.492  0.313  0.500
Tm  0.500  0.500  0.000
Tm  0.508  0.687  0.500
Tm  0.687  0.187  0.179
Tm  0.813  0.992  0.500
Tm  0.992  0.492  0.179
Tl  0.250  0.250  0.000
Tl  0.750  0.750  0.000
In  0.133  0.367  0.500
In  0.367  0.867  0.234
In  0.633  0.133  0.766
In  0.867  0.633  0.500

Most intense lines, 10° ≤ 2θ ≤ 90°, by intensity:
31.55°, d = 2.836 Å, I = 100; 35.76°, d = 2.511 Å, I = 58; 33.96°, d = 2.640 Å, I = 30; 29.87°, d = 2.991 Å, I = 22; 66.44°, d = 1.407 Å, I = 15; 31.88°, d = 2.807 Å, I = 13; 55.56°, d = 1.654 Å, I = 12; 51.25°, d = 1.783 Å, I = 12; 38.19°, d = 2.357 Å, I = 10; 51.47°, d = 1.775 Å, I = 9; 64.47°, d = 1.445 Å, I = 9; 63.47°, d = 1.466 Å, I = 9

No. 4
The following is a calculated XRD peak list of Sm4Mg3Al. It was derived from a cell relaxed with GGA-PBE, using copper Kα.

Structure:
Cell lengths 9.328, 9.328, 9.328 Å; angles 33.45, 33.45, 33.45 degrees
Positions (direct):
Sm  0.122  0.122  0.122
Sm  0.372  0.372  0.372
Sm  0.628  0.628  0.628
Sm  0.878  0.878  0.878
Mg  0.247  0.247  0.247
Mg  0.500  0.500  0.500
Mg  0.753  0.753  0.753
Al  0.000  0.000  0.000

Most intense lines, 10° ≤ 2θ ≤ 90°, by intensity:
33.34°, d = 2.687 Å, I = 100; 23.41°, d = 3.800 Å, I = 60; 59.63°, d = 1.550 Å, I = 28; 47.87°, d = 1.900 Å, I = 18; 41.18°, d = 2.192 Å, I = 14; 54.01°, d = 1.698 Å, I = 13; 53.89°, d = 1.701 Å, I = 12; 75.02°, d = 1.266 Å, I = 9; 59.46°, d = 1.555 Å, I = 9; 79.88°, d = 1.201 Å, I = 8; 79.74°, d = 1.203 Å, I = 7; 70.12°, d = 1.342 Å, I = 6

No. 5
The following is a calculated XRD peak list of NdAlSiPt6. It was derived from a cell relaxed with GGA-PBE, using copper Kα.

Structure:
Cell lengths 7.970, 7.970, 7.970 Å; angles 126.40, 113.55, 90.40 degrees
Positions (direct):
Nd  0.411  0.161  0.250
Nd  0.589  0.839  0.750
Al  0.000  0.000  0.500
Al  0.000  0.500  0.000
Si  0.000  0.500  0.500
Si  0.500  0.500  0.000
Pt  0.113  0.369  0.231
Pt  0.113  0.882  0.745
Pt  0.144  0.894  0.250
Pt  0.335  0.585  0.750
Pt  0.363  0.118  0.731
Pt  0.363  0.631  0.245
Pt  0.637  0.369  0.755
Pt  0.637  0.882  0.269
Pt  0.665  0.415  0.250
Pt  0.856  0.106  0.750
Pt  0.887  0.118  0.255
Pt  0.887  0.631  0.769

Most intense lines, 10° ≤ 2θ ≤ 90°, by intensity:
32.26°, d = 2.775 Å, I = 100; 45.99°, d = 1.974 Å, I = 69; 31.87°, d = 2.808 Å, I = 39; 41.35°, d = 2.183 Å, I = 29; 53.14°, d = 1.724 Å, I = 18; 50.82°, d = 1.797 Å, I = 17; 22.53°, d = 3.947 Å, I = 16; 67.51°, d = 1.387 Å, I = 14; 35.84°, d = 2.505 Å, I = 13; 61.24°, d = 1.513 Å, I = 13; 78.69°, d = 1.216 Å, I = 13; 76.61°, d = 1.244 Å, I = 13

No. 6
The following is a calculated XRD peak list of CeDy2Ho8. It was derived from a cell relaxed with GGA-PBE, using copper Kα.

Structure:
Cell lengths 9.340, 9.340, 7.889 Å; angles 104.68, 104.68, 30.98 degrees
Positions (direct):
Ce  0.000  0.000  0.000
Dy  0.271  0.271  0.363
Dy  0.729  0.729  0.637
Ho  0.091  0.091  0.454
Ho  0.181  0.181  0.908
Ho  0.364  0.364  0.819
Ho  0.455  0.455  0.270
Ho  0.545  0.545  0.730
Ho  0.636  0.636  0.181
Ho  0.819  0.819  0.092
Ho  0.909  0.909  0.546

Most intense lines, 10° ≤ 2θ ≤ 90°, by intensity:
31.04°, d = 2.881 Å, I = 100; 35.99°, d = 2.495 Å, I = 51; 61.64°, d = 1.505 Å, I = 43; 51.82°, d = 1.764 Å, I = 36; 84.65°, d = 1.145 Å, I = 18; 87.40°, d = 1.116 Å, I = 17; 64.71°, d = 1.441 Å, I = 12; 76.35°, d = 1.247 Å, I = 4; 76.29°, d = 1.248 Å, I = 2

No. 7
The following is a calculated XRD peak list of TbDyZnCd. It was derived from a cell relaxed with GGA-PBE, using copper Kα.

Structure:
Cell lengths 3.602, 3.602, 7.566 Å; angles 90.00, 90.00, 90.00 degrees
Positions (direct):
Tb  0.000  0.000  0.000
Dy  0.000  0.000  0.460
Zn  0.500  0.500  0.232
Cd  0.500  0.500  0.728

Most intense lines, 10° ≤ 2θ ≤ 90°, by intensity:
34.38°, d = 2.609 Å, I = 100; 35.24°, d = 2.547 Å, I = 49; 62.68°, d = 1.482 Å, I = 34; 50.69°, d = 1.801 Å, I = 17; 61.02°, d = 1.519 Å, I = 16; 72.46°, d = 1.304 Å, I = 10; 48.10°, d = 1.892 Å, I = 8; 24.72°, d = 3.602 Å, I = 8; 85.18°, d = 1.139 Å, I = 8; 84.69°, d = 1.144 Å, I = 7; 80.74°, d = 1.190 Å, I = 6; 74.50°, d = 1.274 Å, I = 5